Diffraction record for Sr2GaHg12. The powder diffractogram is simulated, not measured: it uses a crystal structure in Alexandria, relaxed with PBE and copper Kα.
No peak broadening, texture or thermal motion is included.

Cell and atoms:
abc: 6.859 6.859 17.973
angles: 90.00 90.00 90.00
Fractional positions:
Sr 0.250 0.750 0.241
Sr 0.250 0.750 0.759
Sr 0.750 0.250 0.241
Sr 0.750 0.250 0.759
Ga 0.250 0.750 0.000
Ga 0.750 0.250 0.000
Hg 0.000 0.000 0.089
Hg 0.000 0.000 0.911
Hg 0.000 0.500 0.089
Hg 0.000 0.500 0.911
Hg 0.091 0.591 0.431
Hg 0.091 0.909 0.569
Hg 0.250 0.250 0.187
Hg 0.250 0.250 0.346
Hg 0.250 0.250 0.654
Hg 0.250 0.250 0.813
Hg 0.409 0.591 0.569
Hg 0.409 0.909 0.431
Hg 0.500 0.000 0.089
Hg 0.500 0.000 0.911
Hg 0.500 0.500 0.089
Hg 0.500 0.500 0.911
Hg 0.591 0.091 0.569
Hg 0.591 0.409 0.431
Hg 0.750 0.750 0.187
Hg 0.750 0.750 0.346
Hg 0.750 0.750 0.654
Hg 0.750 0.750 0.813
Hg 0.909 0.091 0.431
Hg 0.909 0.409 0.569

Main lines, low angle first (10 to 90 degrees two-theta):
20.81°, d = 4.268 Å, I = 37; 27.84°, d = 3.204 Å, I = 100; 30.80°, d = 2.903 Å, I = 29; 32.81°, d = 2.729 Å, I = 51; 35.21°, d = 2.549 Å, I = 40; 35.43°, d = 2.533 Å, I = 33; 36.20°, d = 2.481 Å, I = 44; 37.07°, d = 2.425 Å, I = 79; 39.96°, d = 2.256 Å, I = 85; 41.64°, d = 2.169 Å, I = 28

Diffraction record for Tb5Er2Ga4. The powder diffractogram is simulated, not measured: it uses a crystal structure in Alexandria, relaxed with PBE and copper Kα.
No peak broadening, texture or thermal motion is included.

Cell and atoms:
abc: 9.584 9.584 9.584
angles: 157.64 98.16 86.18
Fractional positions:
Tb 0.000 0.000 0.000
Tb 0.170 0.352 0.818
Tb 0.466 0.648 0.818
Tb 0.534 0.352 0.182
Tb 0.830 0.648 0.182
Er 0.205 0.705 0.500
Er 0.795 0.295 0.500
Ga 0.166 0.500 0.666
Ga 0.408 0.908 0.500
Ga 0.592 0.092 0.500
Ga 0.834 0.500 0.334

Main lines, low angle first (10 to 90 degrees two-theta):
22.17°, d = 4.010 Å, I = 19; 28.64°, d = 3.117 Å, I = 100; 30.75°, d = 2.907 Å, I = 50; 32.21°, d = 2.779 Å, I = 39; 32.77°, d = 2.733 Å, I = 32; 34.73°, d = 2.583 Å, I = 52; 41.49°, d = 2.176 Å, I = 39; 43.23°, d = 2.093 Å, I = 25; 49.02°, d = 1.858 Å, I = 20; 54.04°, d = 1.697 Å, I = 38

Diffraction record for Ac2AgMo2N6. The powder diffractogram is simulated, not measured: it uses a crystal structure in Alexandria, relaxed with PBE and copper Kα.
No peak broadening, texture or thermal motion is included.

Cell and atoms:
abc: 5.759 6.793 6.823
angles: 98.47 106.56 113.05
Fractional positions:
Ac 0.103 0.203 0.298
Ac 0.897 0.797 0.702
Ag 0.500 0.500 0.000
Mo 0.387 0.846 0.300
Mo 0.613 0.154 0.700
N 0.225 0.929 0.081
N 0.240 0.912 0.514
N 0.413 0.577 0.273
N 0.587 0.423 0.727
N 0.760 0.088 0.486
N 0.775 0.071 0.919

Main lines, low angle first (10 to 90 degrees two-theta):
17.36°, d = 5.108 Å, I = 34; 23.42°, d = 3.799 Å, I = 41; 24.00°, d = 3.708 Å, I = 33; 26.13°, d = 3.410 Å, I = 100; 26.97°, d = 3.306 Å, I = 79; 27.46°, d = 3.248 Å, I = 34; 29.61°, d = 3.017 Å, I = 33; 31.47°, d = 2.843 Å, I = 53; 36.76°, d = 2.445 Å, I = 30; 43.45°, d = 2.083 Å, I = 31

Diffraction record for TbSe2O8. The powder diffractogram is simulated, not measured: it uses a crystal structure in Alexandria, relaxed with PBE and copper Kα.
No peak broadening, texture or thermal motion is included.

Cell and atoms:
abc: 6.562 6.562 6.562
angles: 60.00 60.00 60.00
Fractional positions:
Tb 0.000 0.000 0.000
Se 0.250 0.250 0.250
Se 0.750 0.750 0.750
O 0.147 0.147 0.147
O 0.147 0.147 0.559
O 0.147 0.559 0.147
O 0.441 0.853 0.853
O 0.559 0.147 0.147
O 0.853 0.441 0.853
O 0.853 0.853 0.441
O 0.853 0.853 0.853

Main lines, low angle first (10 to 90 degrees two-theta):
16.55°, d = 5.358 Å, I = 73; 27.18°, d = 3.281 Å, I = 100; 31.99°, d = 2.798 Å, I = 15; 42.46°, d = 2.129 Å, I = 28; 48.03°, d = 1.894 Å, I = 37; 56.06°, d = 1.641 Å, I = 19; 58.87°, d = 1.569 Å, I = 11; 63.39°, d = 1.467 Å, I = 15; 76.87°, d = 1.240 Å, I = 21; 89.64°, d = 1.094 Å, I = 12